Theoretical X-ray diffraction stick pattern of YTh2WC4 for Cu Kα, from a DFT-relaxed cell (PBE, Alexandria).

Structure:
Cell: 3.599 12.159 13.004 Å, 90.00 90.00 90.00°
Space group Cmcm (No. 63)
One atom of each set of equivalent atoms:
Y: 0.000 0.112 0.250 [4 per cell]
Th: 0.000 0.366 0.037 [8 per cell]
W: 0.000 0.161 0.750 [4 per cell]
C: 0.000 0.000 0.000 [4 per cell]
C: 0.000 0.266 0.636 [8 per cell]
C: 0.000 0.426 0.250 [4 per cell]

Principal peaks in the range 10° ≤ 2θ ≤ 90°, in order of rising 2θ:
| two_theta | I (rel.) | index |
| --- | --- | --- |
| 16.09 | 25.5 | 0 2 1 |
| 27.43 | 33.6 | 0 0 4 |
| 29.33 | 100.0 | 0 4 0 |
| 33.18 | 23.9 | 1 1 3 |
| 36.12 | 72.7 | 1 3 2 |
| 37.62 | 24.4 | 0 2 5 |
| 40.63 | 17.8 | 0 4 4 |
| 49.91 | 14.8 | 1 5 3 |
| 50.73 | 12.3 | 2 0 0 |
| 60.92 | 15.9 | 1 7 2 |

Theoretical X-ray diffraction stick pattern of Y3ThC3 for Cu Kα, from a DFT-relaxed cell (PBE, Alexandria).

Structure:
Cell: 10.450 10.450 10.450 Å, 90.00 90.00 90.00°
Space group I4_132 (No. 214)
One atom of each set of equivalent atoms:
Y: 0.114 0.375 0.364 [24 per cell]
Th: 0.125 0.125 0.125 [8 per cell]
C: 0.122 0.125 0.872 [24 per cell]

Principal peaks in the range 10° ≤ 2θ ≤ 90°, in order of rising 2θ:
| two_theta | I (rel.) | index |
| --- | --- | --- |
| 11.98 | 39.8 | 1 1 0 |
| 29.61 | 100.0 | 2 2 2 |
| 32.05 | 12.5 | 3 2 1 |
| 34.33 | 66.0 | 4 0 0 |
| 44.19 | 9.5 | 5 1 0 |
| 49.33 | 45.1 | 4 4 0 |
| 58.60 | 42.5 | 6 2 2 |
| 61.48 | 14.9 | 4 4 4 |
| 80.05 | 16.4 | 6 6 2 |
| 82.58 | 18.3 | 8 4 0 |

Theoretical X-ray diffraction stick pattern of Th6ZnC5 for Cu Kα, from a DFT-relaxed cell (PBE, Alexandria).

Structure:
Cell: 6.6258 6.6258 12.8536 Å, 90.00 90.00 120.00°
Space group P6_3/mcm (No. 193)
One atom of each set of equivalent atoms:
Th: 0.0000 0.3737 0.1205 [12 per cell]
Zn: 0.0000 0.0000 0.2500 [2 per cell]
C: 0.0000 0.3164 0.7500 [6 per cell]
C: 0.3333 0.6667 0.0000 [4 per cell]

Principal peaks in the range 10° ≤ 2θ ≤ 90°, in order of rising 2θ:
| two_theta | I (rel.) | index |
| --- | --- | --- |
| 26.91 | 22.3 | 1 1 0 |
| 27.79 | 100.0 | 0 0 4 |
| 34.21 | 57.8 | 1 1 3 |
| 39.05 | 27.5 | 1 1 4 |
| 42.24 | 15.0 | 2 0 4 |
| 44.62 | 17.3 | 1 1 5 |
| 47.54 | 23.3 | 3 0 0 |
| 55.95 | 26.3 | 3 0 4 |
| 57.36 | 20.5 | 0 0 8 |
| 77.61 | 15.0 | 3 0 8 |

Theoretical X-ray diffraction stick pattern of Ti3C for Cu Kα, from a DFT-relaxed cell (PBE, Alexandria).

Structure:
Cell: 4.687 15.271 2.996 Å, 90.00 90.00 90.00°
Space group Cmcm (No. 63)
One atom of each set of equivalent atoms:
Ti: 0.000 0.227 0.250 [4 per cell]
Ti: 0.247 0.412 0.250 [8 per cell]
C: 0.000 0.329 0.750 [4 per cell]

Principal peaks in the range 10° ≤ 2θ ≤ 90°, in order of rising 2θ:
| two_theta | I (rel.) | index |
| --- | --- | --- |
| 32.09 | 52.1 | 0 2 1 |
| 35.26 | 66.8 | 0 6 0 |
| 36.06 | 28.9 | 1 1 1 |
| 38.18 | 100.0 | 0 4 1 |
| 39.86 | 23.0 | 1 3 1 |
| 40.25 | 60.4 | 2 2 0 |
| 45.41 | 40.4 | 2 4 0 |
| 50.89 | 72.8 | 2 2 1 |
| 61.94 | 19.3 | 0 0 2 |
| 71.04 | 35.2 | 2 8 1 |

Theoretical X-ray diffraction stick pattern of Ti6Tl2C for Cu Kα, from a DFT-relaxed cell (PBE, Alexandria).

Structure:
Cell: 7.3025 7.3025 3.3086 Å, 90.00 90.00 120.00°
Space group P-62m (No. 189)
One atom of each set of equivalent atoms:
Ti: 0.0000 0.2155 0.0000 [3 per cell]
Ti: 0.0000 0.6506 0.5000 [3 per cell]
Tl: 0.3333 0.6667 0.0000 [2 per cell]
C: 0.0000 0.0000 0.5000 [1 per cell]

Principal peaks in the range 10° ≤ 2θ ≤ 90°, in order of rising 2θ:
| two_theta | I (rel.) | index |
| --- | --- | --- |
| 14.00 | 32.1 | 1 0 0 |
| 24.38 | 63.1 | 1 1 0 |
| 26.95 | 24.3 | 0 0 1 |
| 36.65 | 100.0 | 1 1 1 |
| 37.63 | 31.3 | 2 1 0 |
| 39.42 | 25.3 | 2 0 1 |
| 42.90 | 40.5 | 3 0 0 |
| 46.89 | 35.1 | 2 1 1 |
| 57.66 | 22.0 | 2 2 1 |
| 74.50 | 32.3 | 4 1 1 |

Theoretical X-ray diffraction stick pattern of UTi2C for Cu Kα, from a DFT-relaxed cell (PBE, Alexandria).

Structure:
Cell: 3.0244 3.0244 23.6795 Å, 90.00 90.00 120.00°
Space group R-3m (No. 166, hexagonal axes)
One atom of each set of equivalent atoms:
U: 0.0000 0.0000 0.0000 [3 per cell]
Ti: 0.0000 0.0000 0.2168 [6 per cell]
C: 0.0000 0.0000 0.5000 [3 per cell]

Principal peaks in the range 10° ≤ 2θ ≤ 90°, in order of rising 2θ:
| two_theta | I (rel.) | index |
| --- | --- | --- |
| 11.21 | 100.0 | 0 0 3 |
| 22.53 | 40.3 | 0 0 6 |
| 34.08 | 31.4 | 0 0 9 |
| 34.45 | 54.2 | 1 0 1 |
| 35.09 | 21.1 | 0 1 2 |
| 37.55 | 69.8 | 1 0 4 |
| 39.31 | 60.5 | 0 1 5 |
| 46.29 | 22.4 | 0 1 8 |
| 52.07 | 24.2 | 1 0 10 |
| 72.03 | 22.0 | 1 1 9 |